Entry 1:
This entry pairs a crystal structure of Zr5GaPb3 with its computed X-ray diffraction stick pattern. Radiation: Cu Ka. Structure: DFT lattice parameters and positions (PBE).
Kinematic intensities with the Lorentz-polarization factor, no thermal factor.

The 12 most intense peaks (2θ from 10° to 90°), in order of rising 2θ:
25.0°, intensity 42; 29.8°, intensity 27; 34.4°, intensity 94; 35.2°, intensity 86; 36.2°, intensity 100; 45.3°, intensity 41; 51.4°, intensity 21; 55.9°, intensity 23; 64.0°, intensity 15; 66.5°, intensity 21; 68.9°, intensity 15; 73.2°, intensity 20

Cell and atoms:
abc: 8.8385 8.8385 5.9955
angles: 90.00 90.00 120.00
Space group P6_3/mcm (No. 193)
One atom of each set of equivalent atoms:
1 Zr 0.0000 0.2623 0.2500 [6 per cell]
2 Zr 0.3333 0.6667 0.0000 [4 per cell]
3 Ga 0.0000 0.0000 0.0000 [2 per cell]
4 Pb 0.0000 0.3874 0.7500 [6 per cell]

---

Entry 2:
This entry pairs a crystal structure of Mg14FeCo with its computed X-ray diffraction stick pattern. Radiation: Cu Ka. Structure: DFT lattice parameters and positions (PBE).
Kinematic intensities with the Lorentz-polarization factor, no thermal factor.

The 12 most intense peaks (2θ from 10° to 90°), in order of rising 2θ:
16.4°, intensity 7; 18.8°, intensity 7; 33.2°, intensity 27; 37.1°, intensity 22; 38.1°, intensity 100; 43.7°, intensity 6; 50.6°, intensity 15; 59.2°, intensity 6; 59.3°, intensity 11; 67.6°, intensity 13; 72.0°, intensity 16; 72.6°, intensity 9

Cell and atoms:
abc: 9.6839 6.2454 10.7935
angles: 90.00 90.00 90.00
Space group Amm2 (No. 38)
One atom of each set of equivalent atoms:
1 Mg 0.0000 0.0000 0.0000 [2 per cell]
2 Mg 0.0000 0.0000 0.5000 [2 per cell]
3 Mg 0.0000 0.2499 0.2540 [4 per cell]
4 Mg 0.2604 0.0000 0.1619 [4 per cell]
5 Mg 0.2606 0.0000 0.6625 [4 per cell]
6 Mg 0.2791 0.2489 0.9272 [8 per cell]
7 Mg 0.5000 0.2487 0.2469 [4 per cell]
8 Fe 0.5000 0.0000 0.0078 [2 per cell]
9 Co 0.5000 0.0000 0.5080 [2 per cell]

---

Entry 3:
This entry pairs a crystal structure of LiCeP4O12 with its computed X-ray diffraction stick pattern. Radiation: Cu Ka. Structure: DFT lattice parameters and positions (PBE).
Kinematic intensities with the Lorentz-polarization factor, no thermal factor.

The 12 most intense peaks (2θ from 10° to 90°), in order of rising 2θ:
13.2°, intensity 36; 15.2°, intensity 36; 20.2°, intensity 100; 22.2°, intensity 78; 22.7°, intensity 29; 27.2°, intensity 43; 29.7°, intensity 27; 30.7°, intensity 37; 32.1°, intensity 33; 32.2°, intensity 23; 33.6°, intensity 20; 38.2°, intensity 18

Cell and atoms:
abc: 16.6972 7.1810 9.9523
angles: 90.00 126.36 90.00
Space group C2/c (No. 15)
One atom of each set of equivalent atoms:
1 Li 0.0000 0.1997 0.2500 [4 per cell]
2 Ce 0.0000 0.3026 0.7500 [4 per cell]
3 P 0.1386 0.0587 0.1643 [8 per cell]
4 P 0.1494 0.3383 0.5973 [8 per cell]
5 O 0.0666 0.0064 0.2029 [8 per cell]
6 O 0.0762 0.3977 0.4180 [8 per cell]
7 O 0.1143 0.2194 0.0496 [8 per cell]
8 O 0.1294 0.3833 0.7220 [8 per cell]
9 O 0.1616 0.1157 0.5907 [8 per cell]
10 O 0.2435 0.0901 0.3443 [8 per cell]

---

Entry 4:
This entry pairs a crystal structure of SbAu3 with its computed X-ray diffraction stick pattern. Radiation: Cu Ka. Structure: DFT lattice parameters and positions (PBE).
Kinematic intensities with the Lorentz-polarization factor, no thermal factor.

The 12 most intense peaks (2θ from 10° to 90°), in order of rising 2θ:
20.6°, intensity 3; 29.3°, intensity 3; 36.1°, intensity 100; 41.9°, intensity 50; 47.1°, intensity 2; 51.9°, intensity 1; 60.7°, intensity 33; 64.8°, intensity 1; 68.8°, intensity 1; 72.7°, intensity 40; 76.5°, intensity 12; 83.9°, intensity 1

Cell and atoms:
abc: 4.3147 4.3147 4.3147
angles: 90.00 90.00 90.00
Space group Pm-3m (No. 221)
One atom of each set of equivalent atoms:
1 Sb 0.0000 0.0000 0.0000 [1 per cell]
2 Au 0.0000 0.5000 0.5000 [3 per cell]

---

Entry 5:
This entry pairs a crystal structure of Cu3As4O6F6 with its computed X-ray diffraction stick pattern. Radiation: Cu Ka. Structure: DFT lattice parameters and positions (PBE).
Kinematic intensities with the Lorentz-polarization factor, no thermal factor.

The 12 most intense peaks (2θ from 10° to 90°), in order of rising 2θ:
22.0°, intensity 37; 27.1°, intensity 100; 31.4°, intensity 19; 35.2°, intensity 72; 38.7°, intensity 22; 47.9°, intensity 26; 50.6°, intensity 46; 63.2°, intensity 23; 65.5°, intensity 31; 67.8°, intensity 16; 70.0°, intensity 15; 89.3°, intensity 11

Cell and atoms:
abc: 8.0636 8.0636 8.0636
angles: 90.00 90.00 90.00
Space group I-43m (No. 217)
One atom of each set of equivalent atoms:
1 Cu 0.0000 0.0000 0.5000 [6 per cell]
2 As 0.1477 0.1477 0.8523 [8 per cell]
3 O 0.0000 0.0000 0.2419 [12 per cell]
4 F 0.0000 0.2500 0.5000 [12 per cell]

---

Entry 6:
This entry pairs a crystal structure of TlCuHSeO5 with its computed X-ray diffraction stick pattern. Radiation: Cu Ka. Structure: DFT lattice parameters and positions (PBE).
Kinematic intensities with the Lorentz-polarization factor, no thermal factor.

The 12 most intense peaks (2θ from 10° to 90°), in order of rising 2θ:
19.2°, intensity 24; 24.1°, intensity 72; 25.0°, intensity 100; 28.9°, intensity 48; 29.2°, intensity 24; 29.3°, intensity 20; 30.8°, intensity 32; 32.5°, intensity 54; 32.7°, intensity 42; 37.2°, intensity 47; 49.3°, intensity 29; 51.4°, intensity 40

Cell and atoms:
abc: 4.6659 6.1082 9.3625
angles: 90.00 97.38 90.00
Space group P2_1/m (No. 11)
One atom of each set of equivalent atoms:
1 Tl 0.0921 0.2500 0.3854 [2 per cell]
2 Cu 0.0000 0.0000 0.0000 [2 per cell]
3 H 0.3963 0.2500 0.1109 [2 per cell]
4 Se 0.4872 0.2500 0.7673 [2 per cell]
5 O 0.1840 0.2500 0.1010 [2 per cell]
6 O 0.2504 0.7500 0.0778 [2 per cell]
7 O 0.2978 0.0208 0.7816 [4 per cell]
8 O 0.3489 0.7500 0.3805 [2 per cell]

---

Entry 7:
This entry pairs a crystal structure of Ta2InRe2Se8 with its computed X-ray diffraction stick pattern. Radiation: Cu Ka. Structure: DFT lattice parameters and positions (PBE).
Kinematic intensities with the Lorentz-polarization factor, no thermal factor.

The 12 most intense peaks (2θ from 10° to 90°), in order of rising 2θ:
11.1°, intensity 100; 29.7°, intensity 14; 30.3°, intensity 20; 31.8°, intensity 22; 37.5°, intensity 59; 41.3°, intensity 12; 45.7°, intensity 20; 52.8°, intensity 23; 54.1°, intensity 12; 66.5°, intensity 12; 72.3°, intensity 10; 89.8°, intensity 11

Cell and atoms:
abc: 3.4706 3.4706 31.7880
angles: 90.00 90.00 120.00
Space group P3m1 (No. 156)
One atom of each set of equivalent atoms:
1 Ta 0.0000 0.0000 0.0000 [1 per cell]
2 Ta 0.0000 0.0000 0.4896 [1 per cell]
3 In 0.0000 0.0000 0.8699 [1 per cell]
4 Re 0.0000 0.0000 0.2396 [1 per cell]
5 Re 0.0000 0.0000 0.7279 [1 per cell]
6 Se 0.3333 0.6667 0.1907 [1 per cell]
7 Se 0.3333 0.6667 0.2885 [1 per cell]
8 Se 0.3333 0.6667 0.6791 [1 per cell]
9 Se 0.3333 0.6667 0.7769 [1 per cell]
10 Se 0.6667 0.3333 0.0526 [1 per cell]
11 Se 0.6667 0.3333 0.4367 [1 per cell]
12 Se 0.6667 0.3333 0.5424 [1 per cell]
13 Se 0.6667 0.3333 0.9467 [1 per cell]